Entry 1:
Structure and computed powder diffraction line list of NaMo3Se3 (a structure optimized by DFT (PBE); Cu Kα (λ = 1.5418 Å)).
No peak broadening, texture or thermal motion is included.

Unit cell a=8.813 b=8.813 c=4.517 alpha=90.00 beta=90.00 gamma=120.00
Element x y z (fractional)
Na (0.333, 0.667, 0.250)
Na (0.667, 0.333, 0.750)
Mo (0.044, 0.193, 0.250)
Mo (0.149, 0.956, 0.250)
Mo (0.193, 0.149, 0.750)
Mo (0.807, 0.851, 0.250)
Mo (0.851, 0.044, 0.750)
Mo (0.956, 0.807, 0.750)
Se (0.086, 0.381, 0.750)
Se (0.295, 0.914, 0.750)
Se (0.381, 0.295, 0.250)
Se (0.619, 0.705, 0.750)
Se (0.705, 0.086, 0.250)
Se (0.914, 0.619, 0.250)

The 6 most intense peaks (5° ≤ 2θ ≤ 70°), sorted by position:
2θ/deg	intensity
11.59	100
31.00	18
36.97	39
39.92	19
45.82	16
47.43	32

=====

Entry 2:
Structure and computed powder diffraction line list of HfCdH (a structure optimized by DFT (PBE); Cu Kα (λ = 1.5418 Å)).
No peak broadening, texture or thermal motion is included.

Unit cell a=10.761 b=10.761 c=10.761 alpha=96.45 beta=96.45 gamma=140.84
Element x y z (fractional)
Hf (0.016, 0.712, 0.923)
Hf (0.143, 0.257, 0.373)
Hf (0.212, 0.789, 0.696)
Hf (0.243, 0.117, 0.886)
Hf (0.270, 0.643, 0.386)
Hf (0.289, 0.093, 0.577)
Hf (0.383, 0.770, 0.127)
Hf (0.407, 0.484, 0.196)
Hf (0.593, 0.516, 0.804)
Hf (0.617, 0.230, 0.873)
Hf (0.711, 0.907, 0.423)
Hf (0.730, 0.357, 0.614)
Hf (0.757, 0.883, 0.114)
Hf (0.788, 0.211, 0.304)
Hf (0.857, 0.743, 0.627)
Hf (0.984, 0.288, 0.077)
Cd (0.035, 0.457, 0.844)
Cd (0.043, 0.387, 0.577)
Cd (0.113, 0.191, 0.656)
Cd (0.133, 0.011, 0.152)
Cd (0.309, 0.465, 0.923)
Cd (0.358, 0.980, 0.348)
Cd (0.480, 0.633, 0.622)
Cd (0.489, 0.142, 0.122)
Cd (0.511, 0.858, 0.878)
Cd (0.520, 0.367, 0.378)
Cd (0.642, 0.020, 0.652)
Cd (0.691, 0.535, 0.077)
Cd (0.867, 0.989, 0.848)
Cd (0.887, 0.809, 0.344)
Cd (0.957, 0.613, 0.423)
Cd (0.965, 0.543, 0.156)
H (0.049, 0.349, 0.285)
H (0.076, 0.204, 0.170)
H (0.151, 0.935, 0.699)
H (0.264, 0.549, 0.199)
H (0.296, 0.965, 0.872)
H (0.406, 0.576, 0.372)
H (0.435, 0.236, 0.785)
H (0.465, 0.094, 0.670)
H (0.535, 0.906, 0.330)
H (0.565, 0.764, 0.215)
H (0.594, 0.424, 0.628)
H (0.704, 0.035, 0.128)
H (0.736, 0.451, 0.801)
H (0.849, 0.065, 0.301)
H (0.924, 0.796, 0.830)
H (0.951, 0.651, 0.715)

The 6 most intense peaks (5° ≤ 2θ ≤ 70°), sorted by position:
2θ/deg	intensity
31.70	30
33.63	27
35.30	100
35.41	46
35.95	72
40.05	35

=====

Entry 3:
Structure and computed powder diffraction line list of La5Er2Tm2 (a structure optimized by DFT (PBE); Cu Kα (λ = 1.5418 Å)).
No peak broadening, texture or thermal motion is included.

Unit cell a=10.435 b=10.435 c=10.435 alpha=87.05 beta=103.39 gamma=145.07
Element x y z (fractional)
La (0.161, 0.488, 0.962)
La (0.161, 0.700, 0.173)
La (0.199, 0.050, 0.249)
La (0.199, 0.450, 0.649)
La (0.527, 0.200, 0.038)
La (0.527, 0.988, 0.827)
La (0.579, 0.500, 0.580)
La (0.801, 0.550, 0.351)
La (0.801, 0.950, 0.751)
La (0.920, 0.000, 0.420)
Er (0.795, 0.211, 0.314)
Er (0.795, 0.981, 0.084)
Er (0.897, 0.481, 0.686)
Er (0.897, 0.711, 0.916)
Tm (0.213, 0.021, 0.692)
Tm (0.329, 0.521, 0.308)
Tm (0.408, 0.408, 0.000)
Tm (0.408, 0.908, 0.500)

The 6 most intense peaks (5° ≤ 2θ ≤ 70°), sorted by position:
2θ/deg	intensity
27.75	30
28.45	71
30.33	54
30.90	34
31.70	100
34.64	79

=====

Entry 4:
Structure and computed powder diffraction line list of Pr6NiOs2I3 (a structure optimized by DFT (PBE); Cu Kα (λ = 1.5418 Å)).
No peak broadening, texture or thermal motion is included.

Unit cell a=7.264 b=7.264 c=8.574 alpha=98.13 beta=98.13 gamma=120.00
Element x y z (fractional)
Pr (0.100, 0.438, 0.814)
Pr (0.224, 0.224, 0.186)
Pr (0.438, 0.100, 0.814)
Pr (0.562, 0.900, 0.186)
Pr (0.776, 0.776, 0.814)
Pr (0.900, 0.562, 0.186)
Ni (0.500, 0.500, 0.000)
Os (0.167, 0.833, 0.000)
Os (0.833, 0.167, 0.000)
I (0.000, 0.000, 0.500)
I (0.332, 0.668, 0.500)
I (0.668, 0.332, 0.500)

The 6 most intense peaks (5° ≤ 2θ ≤ 70°), sorted by position:
2θ/deg	intensity
10.76	20
28.52	100
35.49	13
38.29	29
43.14	38
52.53	18

=====

Entry 5:
Structure and computed powder diffraction line list of Nb2Zn2Ni3 (a structure optimized by DFT (PBE); Cu Kα (λ = 1.5418 Å)).
No peak broadening, texture or thermal motion is included.

Unit cell a=7.437 b=7.437 c=7.437 alpha=31.88 beta=31.88 gamma=31.88
Element x y z (fractional)
Nb (0.127, 0.127, 0.127)
Nb (0.873, 0.873, 0.873)
Zn (0.377, 0.377, 0.377)
Zn (0.623, 0.623, 0.623)
Ni (0.000, 0.000, 0.000)
Ni (0.254, 0.254, 0.254)
Ni (0.746, 0.746, 0.746)

The 6 most intense peaks (5° ≤ 2θ ≤ 70°), sorted by position:
2θ/deg	intensity
25.53	13
30.40	18
39.20	9
42.68	100
44.35	91
63.25	29

=====

Entry 6:
Structure and computed powder diffraction line list of Pu3GeSe6 (a structure optimized by DFT (PBE); Cu Kα (λ = 1.5418 Å)).
No peak broadening, texture or thermal motion is included.

Unit cell a=8.806 b=8.806 c=7.129 alpha=90.00 beta=90.00 gamma=102.24
Element x y z (fractional)
Pu (0.103, 0.897, 0.500)
Pu (0.215, 0.418, 0.409)
Pu (0.418, 0.215, 0.909)
Pu (0.582, 0.785, 0.409)
Pu (0.785, 0.582, 0.909)
Pu (0.897, 0.103, 0.000)
Ge (0.322, 0.678, 0.866)
Ge (0.678, 0.322, 0.366)
Se (0.066, 0.593, 0.688)
Se (0.132, 0.193, 0.706)
Se (0.193, 0.132, 0.206)
Se (0.271, 0.729, 0.260)
Se (0.407, 0.934, 0.688)
Se (0.485, 0.515, 0.656)
Se (0.515, 0.485, 0.156)
Se (0.593, 0.066, 0.188)
Se (0.729, 0.271, 0.760)
Se (0.807, 0.868, 0.706)
Se (0.868, 0.807, 0.206)
Se (0.934, 0.407, 0.188)

The 6 most intense peaks (5° ≤ 2θ ≤ 70°), sorted by position:
2θ/deg	intensity
16.14	44
24.16	100
24.50	45
35.65	61
36.36	48
41.03	44

=====

Entry 7:
Structure and computed powder diffraction line list of Na5B6C4 (a structure optimized by DFT (PBE); Cu Kα (λ = 1.5418 Å)).
No peak broadening, texture or thermal motion is included.

Unit cell a=11.392 b=11.392 c=9.849 alpha=107.83 beta=107.83 gamma=14.29
Element x y z (fractional)
Na (0.000, 0.000, 0.000)
Na (0.099, 0.099, 0.698)
Na (0.201, 0.201, 0.398)
Na (0.300, 0.300, 0.102)
Na (0.400, 0.400, 0.801)
Na (0.500, 0.500, 0.500)
Na (0.600, 0.600, 0.199)
Na (0.700, 0.700, 0.898)
Na (0.799, 0.799, 0.602)
Na (0.901, 0.901, 0.302)
B (0.016, 0.016, 0.283)
B (0.178, 0.178, 0.106)
B (0.211, 0.211, 0.671)
B (0.282, 0.282, 0.813)
B (0.387, 0.387, 0.524)
B (0.419, 0.419, 0.089)
B (0.581, 0.581, 0.911)
B (0.613, 0.613, 0.476)
B (0.718, 0.718, 0.187)
B (0.789, 0.789, 0.329)
B (0.822, 0.822, 0.894)
B (0.984, 0.984, 0.717)
C (0.081, 0.081, 0.414)
C (0.113, 0.113, 0.976)
C (0.321, 0.321, 0.392)
C (0.484, 0.484, 0.219)
C (0.516, 0.516, 0.781)
C (0.679, 0.679, 0.608)
C (0.887, 0.887, 0.024)
C (0.919, 0.919, 0.586)

The 6 most intense peaks (5° ≤ 2θ ≤ 70°), sorted by position:
2θ/deg	intensity
36.45	18
41.97	51
42.42	100
42.67	39
57.33	10
64.93	17